Structure and calculated X-ray diffraction stick pattern of Pm2MnSeO8 (a DFT-relaxed cell (PBE+U, Alexandria); Cu Ka).
No peak broadening, texture or thermal motion is included.

a b c (Å): 5.3500 5.3500 6.2575
angles (deg): 90.00 90.00 120.00
Space group P-3m1 (No. 164)
One atom of each set of equivalent atoms:
Pm 0.3333 0.6667 0.3554 x2
Mn 0.0000 0.0000 0.0000 x1
Se 0.0000 0.0000 0.5000 x1
O 0.1581 0.3163 0.6697 x6
O 0.3333 0.6667 0.0048 x2

Top 6 peaks for 2θ from 10° to 90°, most intense first:
hkl, 2θ (°), d [Å], intensity
1 1 0, 33.50, 2.675, 100
0 1 1, 23.90, 3.724, 84
0 0 1, 14.15, 6.258, 70
1 0 2, 34.59, 2.593, 69
2 0 1, 41.57, 2.173, 47
0 2 2, 48.92, 1.862, 47